1.
NaMn2Cl: computed X-ray diffraction stick pattern (Cu Kα (λ = 1.5418 Å)), based on a crystal structure in Alexandria, relaxed with PBE.

Top 8 peaks for 2θ = 10–90°, by angle:
- 2θ = 18.5°, rel. 100.0
- 2θ = 23.4°, rel. 28.7
- 2θ = 27.2°, rel. 32.7
- 2θ = 37.5°, rel. 45.5
- 2θ = 40.9°, rel. 20.5
- 2θ = 43.4°, rel. 18.5
- 2θ = 47.8°, rel. 21.5
- 2θ = 56.2°, rel. 29.3

Structure:
Cell lengths 9.500, 9.500, 9.500 Å; angles 149.58, 149.58, 43.56 degrees
Sites, in units of the cell vectors:
Na  0.375  0.625  0.750
Na  0.625  0.375  0.250
Mn  0.000  0.000  0.000
Mn  0.000  0.000  0.500
Mn  0.000  0.500  0.000
Mn  0.500  0.000  0.500
Cl  0.125  0.875  0.250
Cl  0.875  0.125  0.750

***

2.
PmPr4ErSe8: computed X-ray diffraction stick pattern (Cu Kα (λ = 1.5418 Å)), based on a crystal structure in Alexandria, relaxed with PBE.

Top 8 peaks for 2θ = 10–90°, by angle:
- 2θ = 20.5°, rel. 27.3
- 2θ = 24.0°, rel. 92.0
- 2θ = 29.1°, rel. 47.4
- 2θ = 38.1°, rel. 45.2
- 2θ = 41.6°, rel. 100.0
- 2θ = 57.6°, rel. 19.8
- 2θ = 60.3°, rel. 16.2
- 2θ = 75.9°, rel. 23.9

Structure:
Cell lengths 8.677, 8.677, 8.677 Å; angles 60.09, 60.09, 60.09 degrees
Sites, in units of the cell vectors:
Pm  0.000  0.000  0.000
Pr  0.000  0.000  0.490
Pr  0.000  0.490  0.000
Pr  0.490  0.000  0.000
Pr  0.622  0.622  0.622
Er  0.373  0.373  0.373
Se  0.220  0.759  0.759
Se  0.243  0.243  0.755
Se  0.243  0.755  0.243
Se  0.246  0.246  0.246
Se  0.755  0.243  0.243
Se  0.756  0.756  0.756
Se  0.759  0.220  0.759
Se  0.759  0.759  0.220

***

3.
LaAl3Co: computed X-ray diffraction stick pattern (Cu Kα (λ = 1.5418 Å)), based on a crystal structure in Alexandria, relaxed with PBE.

Top 8 peaks for 2θ = 10–90°, by angle:
- 2θ = 27.5°, rel. 100.0
- 2θ = 33.8°, rel. 31.7
- 2θ = 39.3°, rel. 50.8
- 2θ = 48.6°, rel. 41.1
- 2θ = 56.7°, rel. 33.8
- 2θ = 64.2°, rel. 17.3
- 2θ = 67.7°, rel. 13.0
- 2θ = 77.9°, rel. 19.5

Structure:
Cell lengths 4.589, 4.589, 4.589 Å; angles 90.00, 90.00, 90.00 degrees
Sites, in units of the cell vectors:
La  0.000  0.000  0.000
Al  0.000  0.500  0.500
Al  0.500  0.000  0.500
Al  0.500  0.500  0.000
Co  0.500  0.500  0.500

***

4.
Er2Ga9Co3: computed X-ray diffraction stick pattern (Cu Kα (λ = 1.5418 Å)), based on a crystal structure in Alexandria, relaxed with PBE.

Top 8 peaks for 2θ = 10–90°, by angle:
- 2θ = 26.0°, rel. 13.8
- 2θ = 37.8°, rel. 100.0
- 2θ = 38.4°, rel. 16.2
- 2θ = 42.5°, rel. 23.0
- 2θ = 42.6°, rel. 45.7
- 2θ = 58.3°, rel. 11.2
- 2θ = 74.8°, rel. 10.9
- 2θ = 74.9°, rel. 16.2

Structure:
Cell lengths 7.356, 7.356, 10.309 Å; angles 111.06, 111.06, 59.85 degrees
Sites, in units of the cell vectors:
Er  0.085  0.252  0.251
Er  0.252  0.085  0.751
Er  0.748  0.915  0.249
Er  0.915  0.748  0.749
Ga  0.022  0.859  0.072
Ga  0.141  0.978  0.428
Ga  0.191  0.358  0.572
Ga  0.204  0.582  0.251
Ga  0.312  0.482  0.941
Ga  0.358  0.191  0.072
Ga  0.367  0.633  0.750
Ga  0.418  0.796  0.249
Ga  0.482  0.312  0.441
Ga  0.518  0.688  0.559
Ga  0.582  0.204  0.751
Ga  0.633  0.367  0.250
Ga  0.642  0.809  0.928
Ga  0.688  0.518  0.059
Ga  0.796  0.418  0.749
Ga  0.809  0.642  0.428
Ga  0.859  0.022  0.572
Ga  0.978  0.141  0.928
Co  0.000  0.500  0.000
Co  0.159  0.670  0.499
Co  0.330  0.841  0.001
Co  0.500  0.000  0.500
Co  0.670  0.159  0.999
Co  0.841  0.330  0.501

***

5.
DyI6: computed X-ray diffraction stick pattern (Cu Kα (λ = 1.5418 Å)), based on a crystal structure in Alexandria, relaxed with PBE.

Top 8 peaks for 2θ = 10–90°, by angle:
- 2θ = 11.5°, rel. 100.0
- 2θ = 14.2°, rel. 36.5
- 2θ = 20.4°, rel. 36.9
- 2θ = 23.2°, rel. 31.2
- 2θ = 28.8°, rel. 34.5
- 2θ = 34.0°, rel. 44.5
- 2θ = 35.4°, rel. 29.9
- 2θ = 45.2°, rel. 38.4

Structure:
Cell lengths 7.946, 7.946, 9.287 Å; angles 90.00, 90.00, 103.50 degrees
Sites, in units of the cell vectors:
Dy  0.000  0.000  0.000
I  0.000  0.000  0.313
I  0.000  0.000  0.687
I  0.143  0.398  0.000
I  0.398  0.143  0.000
I  0.602  0.857  0.000
I  0.857  0.602  0.000

***

6.
Pm2Zn2Ge3: computed X-ray diffraction stick pattern (Cu Kα (λ = 1.5418 Å)), based on a crystal structure in Alexandria, relaxed with PBE.

Top 8 peaks for 2θ = 10–90°, by angle:
- 2θ = 30.1°, rel. 31.6
- 2θ = 33.3°, rel. 100.0
- 2θ = 33.7°, rel. 97.2
- 2θ = 36.3°, rel. 22.6
- 2θ = 41.5°, rel. 41.8
- 2θ = 43.8°, rel. 30.5
- 2θ = 53.8°, rel. 22.3
- 2θ = 62.0°, rel. 22.5

Structure:
Cell lengths 10.148, 10.148, 6.817 Å; angles 90.00, 90.00, 155.26 degrees
Sites, in units of the cell vectors:
Pm  0.041  0.959  0.750
Pm  0.159  0.841  0.250
Pm  0.841  0.159  0.750
Pm  0.959  0.041  0.250
Zn  0.311  0.689  0.051
Zn  0.311  0.689  0.449
Zn  0.689  0.311  0.551
Zn  0.689  0.311  0.949
Ge  0.213  0.787  0.750
Ge  0.434  0.566  0.563
Ge  0.434  0.566  0.937
Ge  0.566  0.434  0.063
Ge  0.566  0.434  0.437
Ge  0.787  0.213  0.250

***

7.
Tl6InBi2: computed X-ray diffraction stick pattern (Cu Kα (λ = 1.5418 Å)), based on a crystal structure in Alexandria, relaxed with PBE.

Top 8 peaks for 2θ = 10–90°, by angle:
- 2θ = 30.9°, rel. 100.0
- 2θ = 31.0°, rel. 98.8
- 2θ = 35.3°, rel. 35.4
- 2θ = 35.4°, rel. 35.4
- 2θ = 37.1°, rel. 30.4
- 2θ = 50.8°, rel. 25.5
- 2θ = 52.2°, rel. 23.9
- 2θ = 60.8°, rel. 29.8

Structure:
Cell lengths 7.706, 7.706, 8.030 Å; angles 106.97, 106.97, 38.46 degrees
Sites, in units of the cell vectors:
Tl  0.110  0.110  0.173
Tl  0.216  0.216  0.827
Tl  0.339  0.339  0.496
Tl  0.661  0.661  0.504
Tl  0.784  0.784  0.173
Tl  0.890  0.890  0.827
In  0.000  0.000  0.500
Bi  0.445  0.445  0.164
Bi  0.555  0.555  0.836

***

8.
Li23InRh6: computed X-ray diffraction stick pattern (Cu Kα (λ = 1.5418 Å)), based on a crystal structure in Alexandria, relaxed with PBE.

Top 8 peaks for 2θ = 10–90°, by angle:
- 2θ = 12.6°, rel. 38.4
- 2θ = 14.5°, rel. 100.0
- 2θ = 25.3°, rel. 77.3
- 2θ = 29.3°, rel. 85.3
- 2θ = 32.8°, rel. 51.8
- 2θ = 41.9°, rel. 94.8
- 2θ = 49.6°, rel. 33.7
- 2θ = 76.5°, rel. 28.5

Structure:
Cell lengths 8.627, 8.627, 8.627 Å; angles 60.00, 60.00, 60.00 degrees
Sites, in units of the cell vectors:
Li  0.000  0.000  0.000
Li  0.000  0.000  0.500
Li  0.000  0.500  0.000
Li  0.000  0.500  0.500
Li  0.113  0.629  0.629
Li  0.119  0.119  0.119
Li  0.119  0.119  0.642
Li  0.119  0.642  0.119
Li  0.358  0.881  0.881
Li  0.371  0.371  0.371
Li  0.371  0.371  0.887
Li  0.371  0.887  0.371
Li  0.500  0.000  0.000
Li  0.500  0.000  0.500
Li  0.500  0.500  0.000
Li  0.629  0.113  0.629
Li  0.629  0.629  0.113
Li  0.629  0.629  0.629
Li  0.642  0.119  0.119
Li  0.881  0.358  0.881
Li  0.881  0.881  0.358
Li  0.881  0.881  0.881
Li  0.887  0.371  0.371
In  0.500  0.500  0.500
Rh  0.261  0.261  0.739
Rh  0.261  0.739  0.261
Rh  0.261  0.739  0.739
Rh  0.739  0.261  0.261
Rh  0.739  0.261  0.739
Rh  0.739  0.739  0.261

***

9.
Cs6KNa8: computed X-ray diffraction stick pattern (Cu Kα (λ = 1.5418 Å)), based on a crystal structure in Alexandria, relaxed with PBE.

Top 8 peaks for 2θ = 10–90°, by angle:
- 2θ = 18.3°, rel. 92.5
- 2θ = 22.0°, rel. 29.3
- 2θ = 22.7°, rel. 61.0
- 2θ = 23.6°, rel. 100.0
- 2θ = 26.5°, rel. 47.7
- 2θ = 26.8°, rel. 53.7
- 2θ = 34.3°, rel. 39.8
- 2θ = 37.3°, rel. 41.6

Structure:
Cell lengths 10.688, 10.688, 10.688 Å; angles 69.23, 69.23, 69.23 degrees
Sites, in units of the cell vectors:
Cs  0.158  0.404  0.649
Cs  0.351  0.842  0.596
Cs  0.404  0.649  0.158
Cs  0.596  0.351  0.842
Cs  0.649  0.158  0.404
Cs  0.842  0.596  0.351
K  0.000  0.000  0.000
Na  0.037  0.864  0.422
Na  0.136  0.578  0.963
Na  0.187  0.187  0.187
Na  0.422  0.037  0.864
Na  0.578  0.963  0.136
Na  0.813  0.813  0.813
Na  0.864  0.422  0.037
Na  0.963  0.136  0.578

***

10.
Ac2Nd6Er5: computed X-ray diffraction stick pattern (Cu Kα (λ = 1.5418 Å)), based on a crystal structure in Alexandria, relaxed with PBE.

Top 8 peaks for 2θ = 10–90°, by angle:
- 2θ = 29.9°, rel. 49.3
- 2θ = 30.6°, rel. 42.2
- 2θ = 31.1°, rel. 25.7
- 2θ = 31.2°, rel. 100.0
- 2θ = 31.3°, rel. 53.1
- 2θ = 33.3°, rel. 28.5
- 2θ = 35.4°, rel. 22.8
- 2θ = 49.2°, rel. 22.6

Structure:
Cell lengths 12.075, 20.595, 3.705 Å; angles 90.00, 90.00, 90.00 degrees
Sites, in units of the cell vectors:
Ac  0.161  0.220  0.000
Ac  0.339  0.720  0.000
Ac  0.661  0.280  0.000
Ac  0.839  0.780  0.000
Nd  0.057  0.924  0.000
Nd  0.078  0.636  0.000
Nd  0.180  0.381  0.500
Nd  0.320  0.881  0.500
Nd  0.422  0.136  0.000
Nd  0.443  0.424  0.000
Nd  0.557  0.576  0.000
Nd  0.578  0.864  0.000
Nd  0.680  0.119  0.500
Nd  0.820  0.619  0.500
Nd  0.922  0.364  0.000
Nd  0.943  0.076  0.000
Er  0.000  0.500  0.500
Er  0.100  0.780  0.500
Er  0.201  0.054  0.500
Er  0.299  0.554  0.500
Er  0.400  0.280  0.500
Er  0.500  0.000  0.500
Er  0.600  0.720  0.500
Er  0.701  0.446  0.500
Er  0.799  0.946  0.500
Er  0.900  0.220  0.500

***

11.
Pm4Nd3Tl2: computed X-ray diffraction stick pattern (Cu Kα (λ = 1.5418 Å)), based on a crystal structure in Alexandria, relaxed with PBE.

Top 8 peaks for 2θ = 10–90°, by angle:
- 2θ = 29.2°, rel. 44.1
- 2θ = 30.3°, rel. 37.6
- 2θ = 31.6°, rel. 100.0
- 2θ = 32.9°, rel. 46.0
- 2θ = 33.0°, rel. 30.6
- 2θ = 34.6°, rel. 34.2
- 2θ = 49.3°, rel. 18.0
- 2θ = 59.3°, rel. 24.0

Structure:
Cell lengths 9.572, 9.572, 6.604 Å; angles 93.97, 93.97, 92.33 degrees
Sites, in units of the cell vectors:
Pm  0.107  0.682  0.919
Pm  0.175  0.521  0.416
Pm  0.318  0.893  0.581
Pm  0.479  0.825  0.084
Pm  0.521  0.175  0.916
Pm  0.682  0.107  0.419
Pm  0.825  0.479  0.584
Pm  0.893  0.318  0.081
Nd  0.049  0.177  0.596
Nd  0.177  0.049  0.096
Nd  0.469  0.531  0.750
Nd  0.531  0.469  0.250
Nd  0.823  0.951  0.904
Nd  0.951  0.823  0.404
Tl  0.222  0.368  0.958
Tl  0.368  0.222  0.458
Tl  0.632  0.778  0.542
Tl  0.778  0.632  0.042

***

12.
CeMg2Al10: computed X-ray diffraction stick pattern (Cu Kα (λ = 1.5418 Å)), based on a crystal structure in Alexandria, relaxed with PBE.

Top 8 peaks for 2θ = 10–90°, by angle:
- 2θ = 18.5°, rel. 57.3
- 2θ = 26.4°, rel. 57.6
- 2θ = 27.0°, rel. 48.8
- 2θ = 33.0°, rel. 84.1
- 2θ = 37.6°, rel. 100.0
- 2θ = 37.7°, rel. 74.3
- 2θ = 38.6°, rel. 61.2
- 2θ = 38.9°, rel. 74.5

Structure:
Cell lengths 9.346, 7.294, 7.046 Å; angles 81.32, 50.50, 48.19 degrees
Sites, in units of the cell vectors:
Ce  0.000  0.000  0.000
Mg  0.000  0.500  0.000
Mg  0.500  0.000  0.500
Al  0.000  0.000  0.500
Al  0.009  0.644  0.356
Al  0.288  0.505  0.495
Al  0.356  0.991  0.009
Al  0.495  0.712  0.288
Al  0.500  0.500  0.000
Al  0.505  0.288  0.712
Al  0.644  0.009  0.991
Al  0.712  0.495  0.505
Al  0.991  0.356  0.644